Starting from a structure optimized by DFT (PBE+U), the powder X-ray diffraction pattern of MgV8O8F8 was calculated for Cu Ka.
Lines closer than 0.1° are merged.

Crystal structure
Cell: 4.906 5.721 10.440 Å, 84.82 89.70 89.39°
Space group P1 (No. 1)
Asymmetric unit:
Mg 0.000 0.000 0.000 x1
V 0.016 0.992 0.501 x1
V 0.020 0.710 0.262 x1
V 0.473 0.750 0.744 x1
V 0.489 0.992 0.999 x1
V 0.515 0.230 0.222 x1
V 0.524 0.492 0.471 x1
V 0.972 0.504 0.967 x1
V 0.986 0.260 0.710 x1
O 0.204 0.716 0.418 x1
O 0.217 0.976 0.662 x1
O 0.247 0.755 0.915 x1
O 0.248 0.974 0.156 x1
O 0.703 0.500 0.302 x1
O 0.745 0.242 0.058 x1
O 0.780 0.261 0.549 x1
O 0.780 0.519 0.810 x1
F 0.208 0.468 0.147 x1
F 0.215 0.242 0.898 x1
F 0.299 0.224 0.397 x1
F 0.303 0.483 0.652 x1
F 0.703 0.759 0.570 x1
F 0.728 0.003 0.831 x1
F 0.773 0.743 0.072 x1
F 0.791 0.991 0.322 x1

Largest 10 diffraction maxima, in order of rising 2θ, 10 to 90 degrees two-theta:
d (Å)  I/Imax  (hkl)
3.448  1000  1 1 -1
3.425  922  1 -1 1
2.624  265  1 1 3
2.600  721  -1 1 3
1.794  218  2 2 2
1.779  335  2 0 -4
1.772  397  -2 2 2
1.724  239  2 2 -2
1.544  214  0 2 6
1.424  264  0 4 0